Starting from a crystal structure in Alexandria, relaxed with PBE+U, the powder diffraction line list of KNiO2 was computed for CuKα.
Peak positions follow from Bragg's law for the DFT cell and can differ from measured ones.

Top 10 peaks for 2θ = 10–90°, by angle:
- 16.2 deg, I 89, (0 1 0)
- 28.6 deg, I 29, (1 1 0)
- 29.3 deg, I 45, (0 2 1)
- 32.1 deg, I 47, (0 0 2)
- 33.3 deg, I 78, (1 1 2)
- 33.6 deg, I 100, (1 2 1)
- 36.1 deg, I 33, (-1 1 1)
- 38.6 deg, I 49, (1 -1 1)
- 51.4 deg, I 32, (2 1 1)
- 59.0 deg, I 31, (1 4 2)

Structure:
```
KNiO2
1.0
3.552 0.000 0.000
1.771 6.107 0.000
1.772 2.726 5.581
K Ni O
2 2 4
Direct
0.000 0.000 0.000
0.181 0.254 0.381
0.447 0.658 0.449
0.772 0.593 0.863
0.361 0.392 0.887
0.499 0.312 0.690
0.611 0.637 0.140
0.860 0.777 0.504
```